# 1
This entry pairs a crystal structure of DyYI6 with its calculated X-ray powder pattern. Radiation: CuKα. Structure: DFT lattice parameters and positions (GGA-PBE).
Kinematic intensities with the Lorentz-polarization factor, no thermal factor.

Structural model:
```
DyYI6
1.0
3.826 -6.633 0.000
3.826 6.633 0.000
-2.496 0.000 7.373
Dy Y I
1 1 6
Direct
0.000 0.000 0.000
0.333 0.667 0.000
0.097 0.410 0.238
0.236 0.256 0.762
0.388 0.056 0.242
0.590 0.903 0.762
0.744 0.764 0.238
0.944 0.612 0.758
```

Peak list (10 most intense, 10° ≤ 2θ ≤ 90°, by angle)
d 7.373, 12.0°, rel. 34
d 6.361, 13.9°, rel. 19
d 3.686, 24.1°, rel. 19
d 3.617, 24.6°, rel. 52
d 3.153, 28.3°, rel. 100
d 3.136, 28.5°, rel. 49
d 2.249, 40.1°, rel. 19
d 2.237, 40.3°, rel. 38
d 2.210, 40.8°, rel. 53
d 1.807, 50.5°, rel. 18

# 2
This entry pairs a crystal structure of Pt10Pb with its calculated X-ray powder pattern. Radiation: CuKα. Structure: DFT lattice parameters and positions (GGA-PBE).
Kinematic intensities with the Lorentz-polarization factor, no thermal factor.

Structural model:
```
Pt10Pb
1.0
4.371 -1.965 0.000
4.371 1.965 0.000
-0.047 0.000 31.255
Pt Pb
20 2
Direct
0.048 0.048 0.250
0.049 0.049 0.957
0.149 0.149 0.870
0.150 0.150 0.161
0.251 0.251 0.781
0.252 0.252 0.073
0.350 0.350 0.985
0.351 0.351 0.275
0.448 0.448 0.898
0.450 0.450 0.189
0.550 0.550 0.811
0.552 0.552 0.102
0.649 0.649 0.725
0.650 0.650 0.015
0.748 0.748 0.927
0.749 0.749 0.219
0.850 0.850 0.839
0.851 0.851 0.130
0.951 0.951 0.043
0.952 0.952 0.750
0.347 0.347 0.685
0.653 0.653 0.315
```

Peak list (10 most intense, 10° ≤ 2θ ≤ 90°, by angle)
d 2.356, 38.2°, rel. 100
d 2.283, 39.5°, rel. 79
d 2.242, 40.2°, rel. 57
d 2.227, 40.5°, rel. 39
d 2.105, 43.0°, rel. 23
d 1.987, 45.7°, rel. 26
d 1.964, 46.2°, rel. 75
d 1.397, 67.0°, rel. 17
d 1.389, 67.4°, rel. 20
d 1.178, 81.7°, rel. 14

# 3
This entry pairs a crystal structure of Nd4CCl3F2 with its calculated X-ray powder pattern. Radiation: CuKα. Structure: DFT lattice parameters and positions (GGA-PBE).
Kinematic intensities with the Lorentz-polarization factor, no thermal factor.

Structural model:
```
Nd4CCl3F2
1.0
7.975 -1.913 0.000
7.975 1.913 0.000
-2.203 0.000 7.720
Nd C Cl F
4 1 3 2
Direct
0.011 0.011 0.291
0.340 0.340 0.397
0.660 0.660 0.603
0.989 0.989 0.709
0.500 0.500 0.500
0.173 0.173 0.860
0.500 0.500 0.000
0.827 0.827 0.140
0.178 0.178 0.415
0.822 0.822 0.585
```

Peak list (10 most intense, 10° ≤ 2θ ≤ 90°, by angle)
d 7.708, 11.5°, rel. 100
d 3.885, 22.9°, rel. 26
d 3.193, 27.9°, rel. 22
d 3.120, 28.6°, rel. 22
d 3.063, 29.2°, rel. 42
d 2.769, 32.3°, rel. 88
d 2.699, 33.2°, rel. 31
d 2.556, 35.1°, rel. 38
d 1.894, 48.0°, rel. 29
d 1.863, 48.9°, rel. 21

# 4
This entry pairs a crystal structure of RbInTe3Pd with its calculated X-ray powder pattern. Radiation: CuKα. Structure: DFT lattice parameters and positions (GGA-PBE).
Kinematic intensities with the Lorentz-polarization factor, no thermal factor.

Structural model:
```
RbInTe3Pd
1.0
9.342 0.000 0.000
0.000 4.551 0.000
-1.968 0.000 9.680
Rb In Te Pd
2 2 6 2
Direct
0.223 0.250 0.285
0.777 0.750 0.715
0.323 0.750 0.901
0.677 0.250 0.099
0.091 0.250 0.875
0.194 0.750 0.601
0.481 0.750 0.180
0.519 0.250 0.820
0.806 0.250 0.399
0.909 0.750 0.125
0.046 0.250 0.598
0.954 0.750 0.402
```

Peak list (10 most intense, 10° ≤ 2θ ≤ 90°, by angle)
d 7.431, 11.9°, rel. 70
d 3.256, 27.4°, rel. 16
d 3.227, 27.6°, rel. 22
d 3.199, 27.9°, rel. 100
d 2.869, 31.2°, rel. 27
d 2.418, 37.2°, rel. 20
d 2.276, 39.6°, rel. 30
d 2.137, 42.3°, rel. 18
d 2.107, 42.9°, rel. 31
d 1.783, 51.2°, rel. 15

# 5
This entry pairs a crystal structure of SmGdNi2Ge4 with its calculated X-ray powder pattern. Radiation: CuKα. Structure: DFT lattice parameters and positions (GGA-PBE).
Kinematic intensities with the Lorentz-polarization factor, no thermal factor.

Structural model:
```
SmGdNi2Ge4
1.0
4.217 0.000 0.000
0.000 2.100 8.324
0.000 -2.100 8.324
Sm Gd Ni Ge
1 1 2 4
Direct
0.000 0.000 0.000
0.500 0.784 0.784
0.000 0.211 0.211
0.500 0.574 0.574
0.000 0.350 0.350
0.000 0.642 0.642
0.500 0.143 0.143
0.500 0.434 0.434
```

Peak list (10 most intense, 10° ≤ 2θ ≤ 90°, by angle)
d 2.930, 30.5°, rel. 22
d 2.623, 34.2°, rel. 100
d 2.609, 34.4°, rel. 40
d 2.318, 38.9°, rel. 30
d 2.109, 42.9°, rel. 29
d 2.100, 43.1°, rel. 29
d 1.693, 54.2°, rel. 13
d 1.640, 56.1°, rel. 19
d 1.556, 59.4°, rel. 17
d 1.488, 62.4°, rel. 19

# 6
This entry pairs a crystal structure of SrIrO3 with its calculated X-ray powder pattern. Radiation: CuKα. Structure: DFT lattice parameters and positions (GGA-PBE).
Kinematic intensities with the Lorentz-polarization factor, no thermal factor.

Structural model:
```
SrIrO3
1.0
2.791 -4.799 0.000
2.791 4.799 0.000
-0.822 0.000 14.246
Sr Ir O
6 6 18
Direct
0.006 0.994 0.750
0.321 0.652 0.396
0.348 0.679 0.104
0.652 0.321 0.896
0.679 0.348 0.604
0.994 0.006 0.250
0.000 0.000 0.000
0.000 0.000 0.500
0.316 0.644 0.848
0.356 0.684 0.652
0.644 0.316 0.348
0.684 0.356 0.152
0.033 0.502 0.736
0.071 0.268 0.900
0.071 0.782 0.902
0.208 0.405 0.541
0.218 0.929 0.598
0.268 0.071 0.400
0.405 0.208 0.041
0.496 0.504 0.750
0.498 0.967 0.764
0.502 0.033 0.236
0.504 0.496 0.250
0.595 0.792 0.959
0.732 0.929 0.600
0.782 0.071 0.402
0.792 0.595 0.459
0.929 0.218 0.098
0.929 0.732 0.100
0.967 0.498 0.264
```

Peak list (10 most intense, 10° ≤ 2θ ≤ 90°, by angle)
d 4.548, 19.5°, rel. 20
d 4.497, 19.7°, rel. 23
d 2.935, 30.5°, rel. 44
d 2.860, 31.3°, rel. 41
d 2.798, 32.0°, rel. 31
d 2.786, 32.1°, rel. 50
d 2.775, 32.3°, rel. 100
d 2.043, 44.3°, rel. 20
d 1.990, 45.6°, rel. 22
d 1.606, 57.4°, rel. 27

# 7
This entry pairs a crystal structure of Li2InSnAu2 with its calculated X-ray powder pattern. Radiation: CuKα. Structure: DFT lattice parameters and positions (GGA-PBE).
Kinematic intensities with the Lorentz-polarization factor, no thermal factor.

Structural model:
```
Li2InSnAu2
1.0
4.752 0.000 0.000
-2.376 4.116 0.000
0.000 0.000 5.993
Li In Sn Au
2 1 1 2
Direct
0.000 0.000 0.250
0.000 0.000 0.750
0.333 0.667 0.000
0.667 0.333 0.500
0.333 0.667 0.500
0.667 0.333 0.000
```

Peak list (10 most intense, 10° ≤ 2θ ≤ 90°, by angle)
d 4.116, 21.6°, rel. 93
d 3.393, 26.3°, rel. 22
d 2.996, 29.8°, rel. 59
d 2.422, 37.1°, rel. 54
d 2.376, 37.9°, rel. 100
d 1.862, 48.9°, rel. 91
d 1.696, 54.1°, rel. 19
d 1.381, 67.9°, rel. 19
d 1.267, 74.9°, rel. 28
d 1.247, 76.3°, rel. 25

# 8
This entry pairs a crystal structure of Ag3Os11 with its calculated X-ray powder pattern. Radiation: CuKα. Structure: DFT lattice parameters and positions (GGA-PBE).
Kinematic intensities with the Lorentz-polarization factor, no thermal factor.

Structural model:
```
Ag3Os11
1.0
7.247 -3.955 0.000
7.247 3.955 0.000
-0.002 0.000 3.943
Ag Os
3 11
Direct
0.000 0.000 0.000
0.265 0.265 0.001
0.590 0.590 0.502
0.063 0.744 0.500
0.132 0.132 0.501
0.304 0.631 0.000
0.384 0.879 0.004
0.388 0.388 0.501
0.501 0.980 0.504
0.631 0.304 0.000
0.744 0.063 0.500
0.766 0.766 0.005
0.879 0.384 0.004
0.980 0.501 0.504
```

Peak list (10 most intense, 10° ≤ 2θ ≤ 90°, by angle)
d 3.464, 25.7°, rel. 25
d 2.669, 33.6°, rel. 31
d 2.606, 34.4°, rel. 72
d 2.212, 40.8°, rel. 100
d 2.167, 41.7°, rel. 65
d 2.060, 44.0°, rel. 50
d 1.971, 46.0°, rel. 58
d 1.908, 47.7°, rel. 23
d 1.827, 49.9°, rel. 25
d 1.182, 81.4°, rel. 33

# 9
This entry pairs a crystal structure of LaGd2Sn2Pb5 with its calculated X-ray powder pattern. Radiation: CuKα. Structure: DFT lattice parameters and positions (GGA-PBE).
Kinematic intensities with the Lorentz-polarization factor, no thermal factor.

Structural model:
```
LaGd2Sn2Pb5
1.0
2.342 -12.915 0.000
2.342 12.915 0.000
0.000 0.000 4.753
La Gd Sn Pb
1 2 2 5
Direct
0.000 0.000 0.000
0.187 0.813 0.000
0.813 0.187 0.000
0.402 0.598 0.000
0.598 0.402 0.000
0.099 0.901 0.500
0.294 0.706 0.500
0.500 0.500 0.500
0.706 0.294 0.500
0.901 0.099 0.500
```

Peak list (10 most intense, 10° ≤ 2θ ≤ 90°, by angle)
d 2.802, 31.9°, rel. 100
d 2.583, 34.7°, rel. 18
d 2.376, 37.9°, rel. 17
d 2.342, 38.4°, rel. 16
d 1.749, 52.3°, rel. 11
d 1.668, 55.1°, rel. 11
d 1.530, 60.5°, rel. 13
d 1.441, 64.7°, rel. 14
d 1.426, 65.5°, rel. 13
d 1.401, 66.8°, rel. 11

# 10
This entry pairs a crystal structure of Al3PdPt with its calculated X-ray powder pattern. Radiation: CuKα. Structure: DFT lattice parameters and positions (GGA-PBE).
Kinematic intensities with the Lorentz-polarization factor, no thermal factor.

Structural model:
```
Al3PdPt
1.0
4.242 0.000 0.000
-2.121 3.674 0.000
0.000 0.000 5.205
Al Pd Pt
3 1 1
Direct
0.000 0.000 0.000
0.333 0.667 0.636
0.667 0.333 0.343
0.667 0.333 0.827
0.333 0.667 0.151
```

Peak list (10 most intense, 10° ≤ 2θ ≤ 90°, by angle)
d 5.205, 17.0°, rel. 29
d 3.674, 24.2°, rel. 38
d 3.002, 29.8°, rel. 61
d 2.123, 42.6°, rel. 100
d 1.964, 46.2°, rel. 14
d 1.733, 52.8°, rel. 15
d 1.501, 61.8°, rel. 18
d 1.342, 70.1°, rel. 18
d 1.227, 77.9°, rel. 8
d 1.225, 78.0°, rel. 26

# 11
This entry pairs a crystal structure of GdLuTl with its calculated X-ray powder pattern. Radiation: CuKα. Structure: DFT lattice parameters and positions (GGA-PBE).
Kinematic intensities with the Lorentz-polarization factor, no thermal factor.

Structural model:
```
GdLuTl
1.0
0.000 3.629 3.629
3.629 0.000 3.629
3.629 3.629 0.000
Gd Lu Tl
1 1 1
Direct
0.000 0.000 0.000
0.500 0.500 0.500
0.250 0.250 0.250
```

Peak list (10 most intense, 10° ≤ 2θ ≤ 90°, by angle)
d 4.191, 21.2°, rel. 33
d 3.629, 24.5°, rel. 8
d 2.566, 35.0°, rel. 100
d 2.189, 41.2°, rel. 18
d 1.815, 50.3°, rel. 18
d 1.665, 55.2°, rel. 8
d 1.482, 62.7°, rel. 37
d 1.397, 67.0°, rel. 6
d 1.283, 73.9°, rel. 12
d 1.148, 84.4°, rel. 17

# 12
This entry pairs a crystal structure of NdGdCu2 with its calculated X-ray powder pattern. Radiation: CuKα. Structure: DFT lattice parameters and positions (GGA-PBE).
Kinematic intensities with the Lorentz-polarization factor, no thermal factor.

Structural model:
```
NdGdCu2
1.0
4.531 0.000 0.000
0.000 5.522 0.000
0.000 0.000 7.289
Nd Gd Cu
2 2 4
Direct
0.000 0.116 0.000
0.000 0.884 0.500
0.500 0.385 0.639
0.500 0.615 0.139
0.000 0.379 0.353
0.000 0.621 0.853
0.500 0.131 0.288
0.500 0.869 0.788
```

Peak list (10 most intense, 10° ≤ 2θ ≤ 90°, by angle)
d 3.503, 25.4°, rel. 34
d 3.157, 28.3°, rel. 84
d 2.840, 31.5°, rel. 100
d 2.582, 34.7°, rel. 84
d 2.525, 35.5°, rel. 98
d 2.265, 39.8°, rel. 63
d 2.243, 40.2°, rel. 87
d 2.224, 40.6°, rel. 46
d 1.703, 53.8°, rel. 50
d 1.587, 58.1°, rel. 31

# 13
This entry pairs a crystal structure of Tc2PdS4Br2 with its calculated X-ray powder pattern. Radiation: CuKα. Structure: DFT lattice parameters and positions (GGA-PBE).
Kinematic intensities with the Lorentz-polarization factor, no thermal factor.

Structural model:
```
Tc2PdS4Br2
1.0
3.864 0.000 0.000
1.410 8.147 0.000
0.506 4.058 7.413
Tc Pd S Br
2 1 4 2
Direct
0.035 0.005 0.270
0.965 0.995 0.730
0.500 0.000 0.500
0.010 0.243 0.999
0.132 0.760 0.232
0.868 0.240 0.768
0.990 0.757 0.001
0.213 0.722 0.631
0.787 0.278 0.369
```

Peak list (10 most intense, 10° ≤ 2θ ≤ 90°, by angle)
d 7.413, 11.9°, rel. 27
d 7.143, 12.4°, rel. 100
d 3.806, 23.4°, rel. 12
d 3.611, 24.7°, rel. 15
d 2.787, 32.1°, rel. 11
d 2.621, 34.2°, rel. 15
d 2.441, 36.8°, rel. 16
d 2.381, 37.8°, rel. 12
d 2.344, 38.4°, rel. 11
d 1.941, 46.8°, rel. 11